Diffraction record for TlCdI2. The X-ray diffraction stick pattern is theoretical, not measured: it uses a cell relaxed with PBE and CuKα.
Intensities are scaled so that the largest is 100.

The 6 most intense peaks (15 to 90 degrees two-theta), most intense first:
2θ/deg, I/Imax
27.0, 100
30.3, 94
41.9, 64
29.8, 61
30.6, 57
34.5, 55

Atomic structure:
```
TlCdI2
1.0
9.1168 -3.1807 0.0000
9.1168 3.1807 0.0000
-1.0282 0.0000 5.8491
Tl Cd I
2 2 4
Direct
0.0000 0.5000 0.0000
0.5000 0.0000 0.5000
0.0000 0.0000 0.0000
0.0000 0.0000 0.5000
0.1188 0.6071 0.5582
0.3929 0.8812 0.9418
0.6071 0.1188 0.0582
0.8812 0.3929 0.4418
```